[1]
For Zn2CoPb, a cell relaxed with GGA-PBE gives the computed powder XRD pattern in this record (Cu Kα, 1.54184 Å).
Peak positions follow from Bragg's law for the DFT cell and can differ from measured ones.

Main lines, by angle (10 to 90 degrees two-theta):
| 2θ (°) | d [Å] | I_rel |
| --- | --- | --- |
| 24.0 | 3.714 | 25.0 |
| 27.7 | 3.217 | 15.1 |
| 39.6 | 2.274 | 100.0 |
| 46.8 | 1.940 | 13.7 |
| 57.3 | 1.608 | 16.7 |
| 71.9 | 1.313 | 33.5 |

Structure:
```
Zn2CoPb
1.0
6.433 0.000 0.000
0.000 6.433 0.000
0.000 0.000 6.433
Zn Co Pb
8 4 4
direct
0.000 0.000 0.000
0.000 0.500 0.500
0.250 0.250 0.250
0.250 0.750 0.750
0.500 0.000 0.500
0.500 0.500 0.000
0.750 0.250 0.750
0.750 0.750 0.250
0.250 0.250 0.750
0.250 0.750 0.250
0.750 0.250 0.250
0.750 0.750 0.750
0.000 0.000 0.500
0.000 0.500 0.000
0.500 0.000 0.000
0.500 0.500 0.500
```

=====

[2]
For Zr5CoPb3, a cell relaxed with GGA-PBE gives the computed powder XRD pattern in this record (Cu Kα, 1.54184 Å).
Peak positions follow from Bragg's law for the DFT cell and can differ from measured ones.

Main lines, by angle (10 to 90 degrees two-theta):
| 2θ (°) | d [Å] | I_rel |
| --- | --- | --- |
| 25.2 | 3.531 | 36.2 |
| 34.6 | 2.592 | 100.0 |
| 35.3 | 2.546 | 49.7 |
| 36.7 | 2.451 | 73.2 |
| 45.5 | 1.993 | 36.3 |
| 56.7 | 1.625 | 24.3 |

Structure:
```
Zr5CoPb3
1.0
8.818 0.000 0.000
-4.409 7.637 0.000
0.000 0.000 5.896
Zr Co Pb
10 2 6
direct
0.000 0.242 0.250
0.000 0.758 0.750
0.242 0.000 0.250
0.242 0.242 0.750
0.333 0.667 0.000
0.333 0.667 0.500
0.667 0.333 0.000
0.667 0.333 0.500
0.758 0.000 0.750
0.758 0.758 0.250
0.000 0.000 0.000
0.000 0.000 0.500
0.000 0.397 0.750
0.000 0.603 0.250
0.397 0.000 0.750
0.397 0.397 0.250
0.603 0.000 0.250
0.603 0.603 0.750
```

=====

[3]
For Rb2Co2PdS4, a cell relaxed with GGA-PBE gives the computed powder XRD pattern in this record (Cu Kα, 1.54184 Å).
Peak positions follow from Bragg's law for the DFT cell and can differ from measured ones.

Main lines, by angle (10 to 90 degrees two-theta):
| 2θ (°) | d [Å] | I_rel |
| --- | --- | --- |
| 12.6 | 7.025 | 85.0 |
| 26.0 | 3.429 | 100.0 |
| 34.6 | 2.592 | 24.7 |
| 35.7 | 2.518 | 36.3 |
| 35.9 | 2.505 | 74.1 |
| 53.4 | 1.715 | 39.9 |

Structure:
```
Rb2Co2PdS4
1.0
0.000 5.185 7.025
2.880 0.000 7.025
2.880 5.185 0.000
Rb Co Pd S
2 2 1 4
direct
0.158 0.158 0.842
0.842 0.842 0.158
0.000 0.000 0.500
0.500 0.500 0.000
0.500 0.500 0.500
0.218 0.569 0.431
0.431 0.782 0.218
0.569 0.218 0.782
0.782 0.431 0.569
```

=====

[4]
For Co2PdSe12S4, a cell relaxed with GGA-PBE gives the computed powder XRD pattern in this record (Cu Kα, 1.54184 Å).
Peak positions follow from Bragg's law for the DFT cell and can differ from measured ones.

Main lines, by angle (10 to 90 degrees two-theta):
| 2θ (°) | d [Å] | I_rel |
| --- | --- | --- |
| 17.2 | 5.161 | 28.7 |
| 28.1 | 3.180 | 36.2 |
| 28.4 | 3.142 | 48.0 |
| 35.2 | 2.551 | 100.0 |
| 36.2 | 2.484 | 65.9 |
| 50.2 | 1.818 | 38.4 |

Structure:
```
Co2PdSe12S4
1.0
5.596 -1.818 0.000
5.596 1.818 0.000
-2.397 0.000 20.983
Co Pd Se S
2 1 12 4
direct
0.068 0.068 0.281
0.932 0.932 0.719
0.000 0.000 0.000
0.033 0.033 0.381
0.145 0.145 0.913
0.186 0.186 0.078
0.300 0.300 0.708
0.369 0.369 0.468
0.436 0.436 0.243
0.564 0.564 0.757
0.631 0.631 0.532
0.700 0.700 0.292
0.814 0.814 0.922
0.855 0.855 0.087
0.967 0.967 0.619
0.315 0.315 0.567
0.500 0.500 0.147
0.500 0.500 0.853
0.685 0.685 0.433
```

=====

[5]
For Sc5Co4Pd, a cell relaxed with GGA-PBE gives the computed powder XRD pattern in this record (Cu Kα, 1.54184 Å).
Peak positions follow from Bragg's law for the DFT cell and can differ from measured ones.

Main lines, by angle (10 to 90 degrees two-theta):
| 2θ (°) | d [Å] | I_rel |
| --- | --- | --- |
| 40.4 | 2.233 | 100.0 |
| 40.6 | 2.225 | 50.6 |
| 58.7 | 1.573 | 15.7 |
| 73.3 | 1.291 | 14.2 |
| 73.7 | 1.286 | 29.6 |
| 87.3 | 1.117 | 8.7 |

Structure:
```
Sc5Co4Pd
1.0
3.146 0.000 0.000
0.000 3.146 0.000
0.000 0.000 15.857
Sc Co Pd
5 4 1
direct
0.000 0.000 0.000
0.000 0.000 0.195
0.000 0.000 0.390
0.000 0.000 0.610
0.000 0.000 0.805
0.500 0.500 0.098
0.500 0.500 0.296
0.500 0.500 0.704
0.500 0.500 0.902
0.500 0.500 0.500
```

=====

[6]
For Ta4Co2PdSe12, a cell relaxed with GGA-PBE gives the computed powder XRD pattern in this record (Cu Kα, 1.54184 Å).
Peak positions follow from Bragg's law for the DFT cell and can differ from measured ones.

Main lines, by angle (10 to 90 degrees two-theta):
| 2θ (°) | d [Å] | I_rel |
| --- | --- | --- |
| 13.0 | 6.826 | 100.0 |
| 13.8 | 6.432 | 26.2 |
| 13.9 | 6.357 | 25.5 |
| 27.8 | 3.211 | 21.7 |
| 35.1 | 2.556 | 30.7 |
| 39.9 | 2.259 | 28.4 |

Structure:
```
Ta4Co2PdSe12
1.0
6.827 -1.715 0.000
6.827 1.715 0.000
-6.499 0.000 18.265
Ta Co Pd Se
4 2 1 12
direct
0.124 0.124 0.151
0.247 0.247 0.406
0.753 0.753 0.594
0.876 0.876 0.849
0.269 0.269 0.716
0.731 0.731 0.284
0.500 0.500 0.000
0.104 0.104 0.281
0.122 0.122 0.606
0.311 0.311 0.236
0.312 0.312 0.926
0.366 0.366 0.550
0.471 0.471 0.119
0.529 0.529 0.881
0.634 0.634 0.450
0.688 0.688 0.074
0.689 0.689 0.764
0.878 0.878 0.394
0.896 0.896 0.719
```

=====

[7]
For Co11Sn3Pd10, a cell relaxed with GGA-PBE gives the computed powder XRD pattern in this record (Cu Kα, 1.54184 Å).
Peak positions follow from Bragg's law for the DFT cell and can differ from measured ones.

Main lines, by angle (10 to 90 degrees two-theta):
| 2θ (°) | d [Å] | I_rel |
| --- | --- | --- |
| 38.5 | 2.340 | 100.0 |
| 41.1 | 2.198 | 78.1 |
| 44.0 | 2.059 | 24.4 |
| 45.7 | 1.983 | 75.2 |
| 66.7 | 1.402 | 23.5 |
| 79.7 | 1.203 | 24.0 |

Structure:
```
Co11Sn3Pd10
1.0
3.967 0.000 0.000
0.000 3.967 0.000
0.000 0.000 21.217
Co Sn Pd
11 3 10
direct
0.000 0.000 0.000
0.000 0.000 0.133
0.000 0.000 0.270
0.000 0.500 0.066
0.000 0.500 0.199
0.000 0.500 0.935
0.500 0.000 0.066
0.500 0.000 0.199
0.500 0.000 0.935
0.500 0.500 0.133
0.500 0.500 0.999
0.000 0.000 0.459
0.000 0.000 0.652
0.000 0.000 0.844
0.000 0.500 0.363
0.000 0.500 0.556
0.000 0.500 0.749
0.500 0.000 0.363
0.500 0.000 0.556
0.500 0.000 0.749
0.500 0.500 0.275
0.500 0.500 0.460
0.500 0.500 0.653
0.500 0.500 0.848
```

=====

[8]
For Co6Sn3Pd7, a cell relaxed with GGA-PBE gives the computed powder XRD pattern in this record (Cu Kα, 1.54184 Å).
Peak positions follow from Bragg's law for the DFT cell and can differ from measured ones.

Main lines, by angle (10 to 90 degrees two-theta):
| 2θ (°) | d [Å] | I_rel |
| --- | --- | --- |
| 36.9 | 2.436 | 32.6 |
| 40.3 | 2.236 | 100.0 |
| 42.4 | 2.130 | 15.3 |
| 45.9 | 1.977 | 45.6 |
| 64.3 | 1.449 | 17.8 |
| 81.1 | 1.185 | 25.3 |

Structure:
```
Co6Sn3Pd7
1.0
3.953 0.000 0.000
0.000 3.953 0.000
0.000 0.000 14.911
Co Sn Pd
6 3 7
direct
0.000 0.000 0.000
0.000 0.500 0.094
0.000 0.500 0.906
0.500 0.000 0.094
0.500 0.000 0.906
0.500 0.500 0.000
0.000 0.000 0.224
0.000 0.000 0.500
0.000 0.000 0.776
0.000 0.500 0.362
0.000 0.500 0.638
0.500 0.000 0.362
0.500 0.000 0.638
0.500 0.500 0.221
0.500 0.500 0.500
0.500 0.500 0.779
```

=====

[9]
For Co3SnPd3, a cell relaxed with GGA-PBE gives the computed powder XRD pattern in this record (Cu Kα, 1.54184 Å).
Peak positions follow from Bragg's law for the DFT cell and can differ from measured ones.

Main lines, by angle (10 to 90 degrees two-theta):
| 2θ (°) | d [Å] | I_rel |
| --- | --- | --- |
| 10.9 | 8.139 | 23.3 |
| 33.0 | 2.713 | 26.7 |
| 40.4 | 2.230 | 100.0 |
| 42.0 | 2.151 | 24.9 |
| 48.3 | 1.884 | 49.5 |
| 77.5 | 1.232 | 25.2 |

Structure:
```
Co3SnPd3
1.0
2.766 1.597 8.139
-2.766 1.597 8.139
0.000 -3.194 8.139
Co Sn Pd
6 2 6
direct
0.157 0.157 0.600
0.157 0.600 0.157
0.400 0.843 0.843
0.600 0.157 0.157
0.843 0.400 0.843
0.843 0.843 0.400
0.119 0.119 0.119
0.881 0.881 0.881
0.121 0.614 0.614
0.386 0.386 0.879
0.386 0.879 0.386
0.614 0.121 0.614
0.614 0.614 0.121
0.879 0.386 0.386
```

=====

[10]
For PmCoTc, a cell relaxed with GGA-PBE gives the computed powder XRD pattern in this record (Cu Kα, 1.54184 Å).
Peak positions follow from Bragg's law for the DFT cell and can differ from measured ones.

Main lines, by angle (10 to 90 degrees two-theta):
| 2θ (°) | d [Å] | I_rel |
| --- | --- | --- |
| 24.5 | 3.639 | 60.8 |
| 40.5 | 2.229 | 100.0 |
| 47.9 | 1.901 | 29.9 |
| 58.6 | 1.576 | 16.5 |
| 64.4 | 1.446 | 12.3 |
| 73.6 | 1.287 | 32.8 |

Structure:
```
PmCoTc
1.0
6.304 0.000 0.000
0.000 6.304 0.000
0.000 0.000 6.304
Pm Co Tc
4 4 4
direct
0.000 0.000 0.000
0.000 0.500 0.500
0.500 0.000 0.500
0.500 0.500 0.000
0.250 0.250 0.750
0.250 0.750 0.250
0.750 0.250 0.250
0.750 0.750 0.750
0.250 0.250 0.250
0.250 0.750 0.750
0.750 0.250 0.750
0.750 0.750 0.250
```

=====

[11]
For PrCo2SnSb, a cell relaxed with GGA-PBE gives the computed powder XRD pattern in this record (Cu Kα, 1.54184 Å).
Peak positions follow from Bragg's law for the DFT cell and can differ from measured ones.

Main lines, by angle (10 to 90 degrees two-theta):
| 2θ (°) | d [Å] | I_rel |
| --- | --- | --- |
| 33.2 | 2.695 | 64.0 |
| 33.8 | 2.654 | 100.0 |
| 41.1 | 2.195 | 67.3 |
| 49.1 | 1.856 | 24.7 |
| 53.9 | 1.702 | 31.8 |
| 70.3 | 1.340 | 23.6 |

Structure:
```
PrCo2SnSb
1.0
4.390 0.000 0.000
0.000 4.390 0.000
0.000 0.000 10.242
Pr Co Sn Sb
2 4 2 2
direct
0.250 0.250 0.245
0.750 0.750 0.755
0.250 0.250 0.631
0.250 0.750 0.000
0.750 0.250 0.000
0.750 0.750 0.369
0.250 0.750 0.500
0.750 0.250 0.500
0.250 0.250 0.872
0.750 0.750 0.128
```

=====

[12]
For PrCo9Si4, a cell relaxed with GGA-PBE gives the computed powder XRD pattern in this record (Cu Kα, 1.54184 Å).
Peak positions follow from Bragg's law for the DFT cell and can differ from measured ones.

Main lines, by angle (10 to 90 degrees two-theta):
| 2θ (°) | d [Å] | I_rel |
| --- | --- | --- |
| 35.4 | 2.534 | 20.8 |
| 36.4 | 2.467 | 21.0 |
| 39.2 | 2.299 | 24.0 |
| 40.1 | 2.249 | 100.0 |
| 47.7 | 1.907 | 39.8 |
| 48.7 | 1.870 | 33.5 |

Structure:
```
PrCo9Si4
1.0
-3.867 3.867 5.718
3.867 -3.867 5.718
3.867 3.867 -5.718
Pr Co Si
2 18 8
direct
0.250 0.250 0.000
0.750 0.750 0.000
0.000 0.500 0.500
0.051 0.551 0.242
0.070 0.800 0.870
0.191 0.949 0.500
0.200 0.070 0.270
0.300 0.570 0.870
0.309 0.809 0.758
0.430 0.300 0.730
0.449 0.691 0.500
0.500 0.000 0.500
0.551 0.309 0.500
0.570 0.700 0.270
0.691 0.191 0.242
0.700 0.430 0.130
0.800 0.930 0.730
0.809 0.051 0.500
0.930 0.200 0.130
0.949 0.449 0.758
0.048 0.210 0.500
0.210 0.710 0.162
0.290 0.452 0.500
0.452 0.952 0.162
0.548 0.048 0.838
0.710 0.548 0.500
0.790 0.290 0.838
0.952 0.790 0.500
```